The following is a simulated powder diffraction line list of Th2CdIn3Hg6. It was derived from a PBE-relaxed structure, using Cu Kα, 1.54184 Å.
Peak positions follow from Bragg's law for the DFT cell and can differ from measured ones.

Structure:
```
Th2CdIn3Hg6
1.0
4.641 0.000 0.000
0.000 4.641 0.000
0.000 0.000 18.932
Th Cd In Hg
2 1 3 6
Cartesian
0.000 0.000 4.104 Th
0.000 0.000 14.828 Th
0.000 0.000 0.000 Cd
2.321 2.321 3.857 In
2.321 2.321 9.466 In
2.321 2.321 15.075 In
0.000 2.321 1.771 Hg
0.000 2.321 17.161 Hg
2.321 0.000 1.771 Hg
2.321 0.000 17.161 Hg
2.321 2.321 6.658 Hg
2.321 2.321 12.273 Hg
```

The 12 most intense peaks (15° ≤ 2θ ≤ 90°), by intensity:
h k l  2theta  intensity
1 1 5  36.22  100.0
2 0 0  38.81  91.6
0 0 7  33.18  80.3
1 1 2  28.79  56.5
1 1 1  27.59  55.7
1 0 1  19.69  55.4
1 1 6  39.62  54.3
2 0 7  51.92  40.0
2 2 0  56.05  34.8
3 1 5  68.58  31.6
2 2 7  66.69  31.2
1 0 4  26.91  30.5